Starting from a cell relaxed with GGA-PBE, the XRD peak list of Na10YbSn12 was simulated for Cu Kα (λ = 1.5418 Å).
Neutral-atom scattering factors, no anomalous dispersion.

Principal peaks in the range 2θ from 5° to 70°, by angle:
2theta  I/Imax
11.12  100
19.31  90
29.69  72
33.78  80
35.67  34
37.47  95
40.87  38
44.06  38
57.92  43
60.43  36

Crystal structure
abc: 9.749 9.749 9.749
angles: 109.47 109.47 109.47
Positions (direct):
Na 0.000 0.000 0.385
Na 0.000 0.385 0.000
Na 0.250 0.500 0.750
Na 0.250 0.750 0.500
Na 0.385 0.000 0.000
Na 0.500 0.250 0.750
Na 0.500 0.750 0.250
Na 0.615 0.615 0.615
Na 0.750 0.250 0.500
Na 0.750 0.500 0.250
Yb 0.000 0.000 0.000
Sn 0.000 0.629 0.812
Sn 0.000 0.812 0.629
Sn 0.183 0.371 0.371
Sn 0.188 0.188 0.817
Sn 0.188 0.817 0.188
Sn 0.371 0.183 0.371
Sn 0.371 0.371 0.183
Sn 0.629 0.000 0.812
Sn 0.629 0.812 0.000
Sn 0.812 0.000 0.629
Sn 0.812 0.629 0.000
Sn 0.817 0.188 0.188



Starting from a cell relaxed with GGA-PBE, the XRD peak list of NaZnSn3 was simulated for Cu Kα (λ = 1.5418 Å).
Neutral-atom scattering factors, no anomalous dispersion.

Principal peaks in the range 2θ from 5° to 70°, by angle:
2theta  I/Imax
15.37  44
19.61  46
29.49  21
29.99  100
36.44  34
36.57  34
40.65  71
52.58  24
68.42  16
68.60  16

Crystal structure
abc: 6.733 6.733 6.733
angles: 137.19 137.03 62.26
Positions (direct):
Na 0.000 0.000 0.000
Zn 0.371 0.371 0.000
Sn 0.256 0.756 0.500
Sn 0.600 0.600 0.000
Sn 0.757 0.257 0.500



Starting from a cell relaxed with GGA-PBE, the XRD peak list of NaZn4Sn was simulated for Cu Kα (λ = 1.5418 Å).
Neutral-atom scattering factors, no anomalous dispersion.

Principal peaks in the range 2θ from 5° to 70°, by angle:
2theta  I/Imax
19.94  16
23.07  14
32.85  26
38.73  100
40.53  41
51.67  5
53.12  6
58.65  10
62.60  32
68.88  25

Crystal structure
abc: 5.453 5.453 5.453
angles: 60.00 60.00 60.00
Positions (direct):
Na 0.000 0.000 0.000
Zn 0.122 0.626 0.626
Zn 0.626 0.122 0.626
Zn 0.626 0.626 0.122
Zn 0.626 0.626 0.626
Sn 0.250 0.250 0.250



Starting from a cell relaxed with GGA-PBE, the XRD peak list of NaZn2Sn2 was simulated for Cu Kα (λ = 1.5418 Å).
Neutral-atom scattering factors, no anomalous dispersion.

Principal peaks in the range 2θ from 5° to 70°, by angle:
2theta  I/Imax
16.77  100
18.59  73
23.97  43
31.38  40
32.69  80
35.00  63
35.70  36
39.62  59
42.85  34
44.49  46

Crystal structure
abc: 5.773 6.187 8.565
angles: 69.78 82.39 64.79
Positions (direct):
Na 0.241 0.135 0.212
Na 0.759 0.865 0.788
Zn 0.024 0.293 0.765
Zn 0.377 0.442 0.790
Zn 0.623 0.558 0.210
Zn 0.976 0.707 0.235
Sn 0.257 0.782 0.959
Sn 0.334 0.348 0.494
Sn 0.666 0.652 0.506
Sn 0.743 0.218 0.041



Starting from a cell relaxed with GGA-PBE, the XRD peak list of Na3Zn2Sn3 was simulated for Cu Kα (λ = 1.5418 Å).
Neutral-atom scattering factors, no anomalous dispersion.

Principal peaks in the range 2θ from 5° to 70°, by angle:
2theta  I/Imax
15.91  58
22.22  66
22.96  47
30.58  100
31.99  63
35.69  47
38.35  81
38.48  68
42.48  47
43.19  75

Crystal structure
abc: 5.962 5.962 17.253
angles: 90.00 90.00 138.18
Positions (direct):
Na 0.057 0.943 0.618
Na 0.057 0.943 0.882
Na 0.365 0.635 0.750
Na 0.635 0.365 0.250
Na 0.943 0.057 0.118
Na 0.943 0.057 0.382
Zn 0.231 0.769 0.115
Zn 0.231 0.769 0.385
Zn 0.769 0.231 0.615
Zn 0.769 0.231 0.885
Sn 0.351 0.649 0.250
Sn 0.359 0.641 0.527
Sn 0.359 0.641 0.973
Sn 0.641 0.359 0.027
Sn 0.641 0.359 0.473
Sn 0.649 0.351 0.750



Starting from a cell relaxed with GGA-PBE, the XRD peak list of NaZnSn6 was simulated for Cu Kα (λ = 1.5418 Å).
Neutral-atom scattering factors, no anomalous dispersion.

Principal peaks in the range 2θ from 5° to 70°, by angle:
2theta  I/Imax
25.36  100
32.95  51
36.18  91
42.00  30
44.68  50
47.23  14
56.67  13
63.07  14
65.01  23
65.12  25

Crystal structure
abc: 6.082 6.082 6.082
angles: 89.89 89.89 89.89
Positions (direct):
Na 0.000 0.000 0.000
Zn 0.500 0.500 0.500
Sn 0.171 0.171 0.547
Sn 0.171 0.547 0.171
Sn 0.453 0.829 0.829
Sn 0.547 0.171 0.171
Sn 0.829 0.453 0.829
Sn 0.829 0.829 0.453



Starting from a cell relaxed with GGA-PBE, the XRD peak list of NaZn2Sn5 was simulated for Cu Kα (λ = 1.5418 Å).
Neutral-atom scattering factors, no anomalous dispersion.

Principal peaks in the range 2θ from 5° to 70°, by angle:
2theta  I/Imax
12.75  61
30.67  88
31.27  100
37.14  71
37.93  55
38.93  63
43.02  34
58.11  39
63.65  30
66.80  26

Crystal structure
abc: 7.566 7.566 7.566
angles: 147.73 110.55 78.66
Positions (direct):
Na 0.000 0.000 0.000
Zn 0.245 0.745 0.500
Zn 0.755 0.255 0.500
Sn 0.145 0.353 0.792
Sn 0.438 0.647 0.792
Sn 0.500 0.000 0.500
Sn 0.562 0.353 0.208
Sn 0.855 0.647 0.208



Starting from a cell relaxed with GGA-PBE, the XRD peak list of NaSr3 was simulated for Cu Kα (λ = 1.5418 Å).
Neutral-atom scattering factors, no anomalous dispersion.

Principal peaks in the range 2θ from 5° to 70°, by angle:
2theta  I/Imax
23.96  14
26.55  28
26.67  24
27.26  100
37.99  18
39.87  9
47.31  22
47.45  16
48.58  19
56.24  11

Crystal structure
abc: 7.816 7.816 7.816
angles: 146.37 62.38 129.12
Positions (direct):
Na 0.000 0.000 0.000
Sr 0.233 0.503 0.730
Sr 0.501 0.001 0.500
Sr 0.773 0.503 0.270



Question: Which formula does entry 5 have?
Answer: Na3Zn2Sn3